Structure and simulated powder XRD pattern of Ho2Er5Th3 (DFT lattice parameters and positions (GGA-PBE); a wavelength of 1.5418 Å).
Kinematic intensities with the Lorentz-polarization factor, no thermal factor.

Crystal structure
```
Ho2Er5Th3
1.0
5.566 -2.504 0.000
5.566 2.504 0.000
-0.123 0.000 11.211
Ho Er Th
2 5 3
Direct
0.098 0.098 0.299
0.902 0.902 0.701
0.200 0.200 0.601
0.300 0.300 0.900
0.500 0.500 0.500
0.700 0.700 0.100
0.800 0.800 0.399
0.000 0.000 0.000
0.401 0.401 0.201
0.599 0.599 0.799
```

Main lines, sorted by position (15 to 90 degrees two-theta):
- 30.98 deg, d 2.887, I 100
- 35.71 deg, d 2.514, I 17
- 35.86 deg, d 2.504, I 17
- 36.20 deg, d 2.482, I 17
- 61.23 deg, d 1.514, I 15
- 61.43 deg, d 1.509, I 15
- 61.88 deg, d 1.499, I 14
- 64.57 deg, d 1.443, I 13


Structure and simulated powder XRD pattern of Li2Ca2LaSb2 (DFT lattice parameters and positions (GGA-PBE); a wavelength of 1.5418 Å).
Kinematic intensities with the Lorentz-polarization factor, no thermal factor.

Crystal structure
```
Li2Ca2LaSb2
1.0
2.387 1.378 9.453
-2.387 1.378 9.453
0.000 -2.756 9.453
Li Ca La Sb
2 2 1 2
Direct
0.085 0.085 0.085
0.915 0.915 0.915
0.368 0.368 0.368
0.632 0.632 0.632
0.500 0.500 0.500
0.238 0.238 0.238
0.762 0.762 0.762
```

Main lines, sorted by position (15 to 90 degrees two-theta):
- 21.72 deg, d 4.091, I 49
- 24.93 deg, d 3.572, I 95
- 30.90 deg, d 2.894, I 82
- 33.29 deg, d 2.691, I 100
- 37.68 deg, d 2.387, I 93
- 51.15 deg, d 1.786, I 29
- 62.69 deg, d 1.482, I 34
- 65.25 deg, d 1.430, I 27


Structure and simulated powder XRD pattern of ErSc5As4 (DFT lattice parameters and positions (GGA-PBE); a wavelength of 1.5418 Å).
Kinematic intensities with the Lorentz-polarization factor, no thermal factor.

Crystal structure
```
ErSc5As4
1.0
8.372 -1.943 0.000
8.372 1.943 0.000
-2.120 0.000 7.310
Er Sc As
1 5 4
Direct
0.000 0.000 0.000
0.000 0.000 0.500
0.327 0.327 0.653
0.338 0.338 0.156
0.662 0.662 0.844
0.673 0.673 0.347
0.175 0.175 0.102
0.494 0.494 0.733
0.506 0.506 0.267
0.825 0.825 0.898
```

Main lines, sorted by position (15 to 90 degrees two-theta):
- 22.11 deg, d 4.020, I 15
- 25.83 deg, d 3.449, I 27
- 32.97 deg, d 2.717, I 100
- 33.43 deg, d 2.680, I 47
- 46.71 deg, d 1.945, I 55
- 47.87 deg, d 1.900, I 16
- 48.62 deg, d 1.873, I 32
- 58.69 deg, d 1.573, I 18


Structure and simulated powder XRD pattern of Bi3Sb3Pb10 (DFT lattice parameters and positions (GGA-PBE); a wavelength of 1.5418 Å).
Kinematic intensities with the Lorentz-polarization factor, no thermal factor.

Crystal structure
```
Bi3Sb3Pb10
1.0
6.602 0.000 0.000
-0.273 9.371 0.000
-0.083 -4.638 8.436
Bi Sb Pb
3 3 10
Direct
0.000 0.000 0.000
0.030 0.442 0.606
0.832 0.827 0.391
0.380 0.464 0.395
0.436 0.895 0.007
0.535 0.091 0.628
0.188 0.062 0.367
0.208 0.835 0.632
0.387 0.668 0.190
0.457 0.480 0.800
0.466 0.246 0.008
0.682 0.175 0.335
0.696 0.727 0.675
0.916 0.638 0.000
0.945 0.417 0.207
0.976 0.224 0.805
```

Main lines, sorted by position (15 to 90 degrees two-theta):
- 29.07 deg, d 3.072, I 78
- 29.33 deg, d 3.046, I 58
- 29.56 deg, d 3.021, I 40
- 31.06 deg, d 2.880, I 62
- 31.49 deg, d 2.841, I 55
- 31.67 deg, d 2.825, I 100
- 31.86 deg, d 2.809, I 66
- 32.54 deg, d 2.752, I 43


Structure and simulated powder XRD pattern of NaOs2Br11 (DFT lattice parameters and positions (GGA-PBE); a wavelength of 1.5418 Å).
Kinematic intensities with the Lorentz-polarization factor, no thermal factor.

Crystal structure
```
NaOs2Br11
1.0
-6.027 6.029 6.835
6.027 -6.029 6.835
6.027 6.029 -6.835
Na Os Br
2 4 22
Direct
0.250 0.250 0.000
0.750 0.750 0.000
0.162 0.664 0.826
0.338 0.164 0.502
0.662 0.836 0.498
0.838 0.336 0.174
0.000 0.500 0.500
0.077 0.371 0.191
0.115 0.926 0.298
0.128 0.426 0.811
0.180 0.886 0.809
0.200 0.303 0.503
0.300 0.803 0.104
0.320 0.129 0.706
0.372 0.183 0.298
0.385 0.683 0.811
0.423 0.614 0.294
0.500 0.000 0.500
0.577 0.386 0.706
0.615 0.317 0.189
0.628 0.817 0.702
0.680 0.871 0.294
0.700 0.197 0.896
0.800 0.697 0.497
0.820 0.114 0.191
0.872 0.574 0.189
0.885 0.074 0.702
0.923 0.629 0.809
```

Main lines, sorted by position (15 to 90 degrees two-theta):
- 16.62 deg, d 5.333, I 29
- 17.68 deg, d 5.016, I 100
- 19.64 deg, d 4.521, I 22
- 33.23 deg, d 2.696, I 25
- 33.61 deg, d 2.666, I 64
- 34.17 deg, d 2.624, I 33
- 36.51 deg, d 2.461, I 21
- 52.86 deg, d 1.732, I 36


Structure and simulated powder XRD pattern of Sr2LiAcS4 (DFT lattice parameters and positions (GGA-PBE); a wavelength of 1.5418 Å).
Kinematic intensities with the Lorentz-polarization factor, no thermal factor.

Crystal structure
```
Sr2LiAcS4
1.0
7.213 0.000 0.000
0.000 4.297 0.000
-2.376 0.000 6.961
Sr Li Ac S
2 1 1 4
Direct
0.000 0.000 0.000
0.500 0.500 0.000
0.000 0.500 0.500
0.500 0.000 0.500
0.247 0.500 0.257
0.251 0.000 0.748
0.749 0.000 0.252
0.753 0.500 0.743
```

Main lines, sorted by position (15 to 90 degrees two-theta):
- 20.67 deg, d 4.297, I 19
- 24.34 deg, d 3.657, I 25
- 25.60 deg, d 3.479, I 51
- 29.61 deg, d 3.017, I 100
- 30.17 deg, d 2.962, I 47
- 42.45 deg, d 2.129, I 36
- 43.11 deg, d 2.098, I 35
- 52.61 deg, d 1.740, I 29


Structure and simulated powder XRD pattern of V2Ni7Pt2 (DFT lattice parameters and positions (GGA-PBE); a wavelength of 1.5418 Å).
Kinematic intensities with the Lorentz-polarization factor, no thermal factor.

Crystal structure
```
V2Ni7Pt2
1.0
4.438 0.000 0.000
-0.025 4.993 0.000
-1.543 -1.167 6.182
V Ni Pt
2 7 2
Direct
0.219 0.298 0.253
0.781 0.702 0.747
0.000 0.000 0.500
0.217 0.459 0.916
0.224 0.973 0.906
0.255 0.600 0.586
0.745 0.400 0.414
0.776 0.027 0.094
0.783 0.541 0.084
0.413 0.816 0.291
0.587 0.184 0.709
```

Main lines, sorted by position (15 to 90 degrees two-theta):
- 35.56 deg, d 2.525, I 64
- 39.82 deg, d 2.264, I 48
- 40.91 deg, d 2.206, I 41
- 42.05 deg, d 2.149, I 39
- 42.59 deg, d 2.123, I 87
- 43.86 deg, d 2.064, I 100
- 44.67 deg, d 2.028, I 74
- 45.15 deg, d 2.008, I 41


Structure and simulated powder XRD pattern of Ag7Te3S (DFT lattice parameters and positions (GGA-PBE); a wavelength of 1.5418 Å).
Kinematic intensities with the Lorentz-polarization factor, no thermal factor.

Crystal structure
```
Ag7Te3S
1.0
4.935 -4.549 0.000
4.935 4.549 0.000
-4.437 0.000 6.041
Ag Te S
7 3 1
Direct
0.000 0.000 0.000
0.018 0.557 0.982
0.293 0.850 0.464
0.356 0.356 0.852
0.557 0.018 0.982
0.711 0.711 0.414
0.850 0.293 0.464
0.166 0.677 0.712
0.369 0.369 0.242
0.677 0.166 0.712
0.876 0.876 0.235
```

Main lines, sorted by position (15 to 90 degrees two-theta):
- 24.50 deg, d 3.634, I 55
- 26.47 deg, d 3.367, I 33
- 31.32 deg, d 2.856, I 47
- 33.52 deg, d 2.673, I 33
- 39.08 deg, d 2.305, I 81
- 39.62 deg, d 2.275, I 68
- 41.41 deg, d 2.180, I 100
- 41.75 deg, d 2.163, I 66


Structure and simulated powder XRD pattern of Pm2ZnGa3Cu12 (DFT lattice parameters and positions (GGA-PBE); a wavelength of 1.5418 Å).
Kinematic intensities with the Lorentz-polarization factor, no thermal factor.

Crystal structure
```
Pm2ZnGa3Cu12
1.0
4.054 2.341 5.873
-4.054 2.341 5.873
0.000 -4.682 5.873
Pm Zn Ga Cu
2 1 3 12
Direct
0.100 0.100 0.100
0.900 0.900 0.900
0.500 0.500 0.500
0.000 0.500 0.500
0.500 0.000 0.500
0.500 0.500 0.000
0.140 0.140 0.486
0.140 0.486 0.140
0.148 0.640 0.640
0.360 0.360 0.852
0.360 0.852 0.360
0.486 0.140 0.140
0.514 0.860 0.860
0.640 0.148 0.640
0.640 0.640 0.148
0.852 0.360 0.360
0.860 0.514 0.860
0.860 0.860 0.514
```

Main lines, sorted by position (15 to 90 degrees two-theta):
- 25.87 deg, d 3.443, I 67
- 27.34 deg, d 3.262, I 50
- 28.34 deg, d 3.150, I 81
- 32.61 deg, d 2.746, I 47
- 42.65 deg, d 2.120, I 65
- 44.28 deg, d 2.046, I 44
- 44.70 deg, d 2.027, I 100
- 49.93 deg, d 1.826, I 46


Structure and simulated powder XRD pattern of Pm2HoEr2Tm (DFT lattice parameters and positions (GGA-PBE); a wavelength of 1.5418 Å).
Kinematic intensities with the Lorentz-polarization factor, no thermal factor.

Crystal structure
```
Pm2HoEr2Tm
1.0
6.961 0.000 0.000
0.000 5.610 0.000
0.000 0.000 9.713
Pm Ho Er Tm
4 2 4 2
Direct
0.000 0.000 0.000
0.250 0.500 0.178
0.500 0.000 0.000
0.750 0.500 0.822
0.250 0.000 0.658
0.750 0.000 0.342
0.250 0.000 0.331
0.250 0.500 0.837
0.750 0.000 0.669
0.750 0.500 0.163
0.000 0.500 0.500
0.500 0.500 0.500
```

Main lines, sorted by position (15 to 90 degrees two-theta):
- 31.63 deg, d 2.829, I 91
- 31.91 deg, d 2.805, I 100
- 45.54 deg, d 1.992, I 33
- 56.68 deg, d 1.624, I 35
- 56.86 deg, d 1.619, I 19
- 62.85 deg, d 1.479, I 29
- 75.70 deg, d 1.256, I 15
- 81.14 deg, d 1.185, I 14


Structure and simulated powder XRD pattern of Ba3ErTi2O9 (DFT lattice parameters and positions (GGA-PBE); a wavelength of 1.5418 Å).
Kinematic intensities with the Lorentz-polarization factor, no thermal factor.

Crystal structure
```
Ba3ErTi2O9
1.0
5.877 0.000 0.000
-2.939 5.090 0.000
0.000 0.000 7.241
Ba Er Ti O
3 1 2 9
Direct
0.000 0.000 0.000
0.333 0.667 0.680
0.667 0.333 0.320
0.000 0.000 0.500
0.333 0.667 0.172
0.667 0.333 0.828
0.000 0.500 0.000
0.176 0.352 0.318
0.176 0.824 0.318
0.352 0.176 0.682
0.500 0.000 0.000
0.500 0.500 0.000
0.648 0.824 0.318
0.824 0.176 0.682
0.824 0.648 0.682
```

Main lines, sorted by position (15 to 90 degrees two-theta):
- 30.30 deg, d 2.950, I 100
- 30.42 deg, d 2.939, I 93
- 43.47 deg, d 2.082, I 62
- 53.74 deg, d 1.706, I 18
- 54.00 deg, d 1.698, I 57
- 63.02 deg, d 1.475, I 17
- 63.29 deg, d 1.469, I 18
- 87.88 deg, d 1.111, I 21


Structure and simulated powder XRD pattern of TbDyPd14 (DFT lattice parameters and positions (GGA-PBE); a wavelength of 1.5418 Å).
Kinematic intensities with the Lorentz-polarization factor, no thermal factor.

Crystal structure
```
TbDyPd14
1.0
5.761 0.000 0.000
0.000 5.761 0.000
0.000 0.000 7.973
Tb Dy Pd
1 1 14
Direct
0.000 0.000 0.000
0.500 0.500 0.000
0.000 0.000 0.500
0.000 0.500 0.000
0.000 0.500 0.500
0.250 0.250 0.259
0.250 0.250 0.741
0.250 0.750 0.259
0.250 0.750 0.741
0.500 0.000 0.000
0.500 0.000 0.500
0.500 0.500 0.500
0.750 0.250 0.259
0.750 0.250 0.741
0.750 0.750 0.259
0.750 0.750 0.741
```

Main lines, sorted by position (15 to 90 degrees two-theta):
- 38.56 deg, d 2.335, I 100
- 44.48 deg, d 2.037, I 33
- 45.51 deg, d 1.993, I 15
- 64.73 deg, d 1.440, I 11
- 65.53 deg, d 1.425, I 20
- 77.94 deg, d 1.226, I 25
- 79.42 deg, d 1.207, I 11
- 82.66 deg, d 1.167, I 11